For Li2Ac2Te3I2, a crystal structure in Alexandria, relaxed with GGA-PBE gives the theoretical powder diffractogram in this record (Cu Kα (weighted mean of Kα1 and Kα2)).
Peak positions follow from Bragg's law for the DFT cell and can differ from measured ones.

Cell and atoms:
Lattice parameters (Å, degrees): 5.5039 5.5039 20.9085 90.00 90.00 90.00
Space group I4/mmm (No. 139)
Asymmetric unit:
Li (0.0000, 0.5000, 0.0000) (multiplicity 4)
Ac (0.0000, 0.0000, 0.1658) (multiplicity 4)
Te (0.0000, 0.0000, 0.0000) (multiplicity 2)
Te (0.0000, 0.5000, 0.2500) (multiplicity 4)
I (0.0000, 0.0000, 0.4033) (multiplicity 4)

Most intense lines, 2θ = 5–70°, in order of rising 2θ:
hkl 0 0 2, 8.5°, d = 10.454 Å, intensity 53; hkl 1 1 0, 22.9°, d = 3.892 Å, intensity 65; hkl 1 0 5, 26.8°, d = 3.330 Å, intensity 98; hkl 1 1 4, 28.6°, d = 3.122 Å, intensity 74; hkl 2 0 0, 32.5°, d = 2.752 Å, intensity 100; hkl 1 1 6, 34.5°, d = 2.596 Å, intensity 50; hkl 2 1 5, 42.6°, d = 2.121 Å, intensity 56; hkl 2 2 0, 46.7°, d = 1.946 Å, intensity 37


For Ac4I3N2, a crystal structure in Alexandria, relaxed with GGA-PBE gives the theoretical powder diffractogram in this record (Cu Kα (weighted mean of Kα1 and Kα2)).
Peak positions follow from Bragg's law for the DFT cell and can differ from measured ones.

Cell and atoms:
Lattice parameters (Å, degrees): 8.0347 21.4913 8.3087 90.00 90.00 90.00
Space group Imma (No. 74)
Asymmetric unit:
Ac (0.0000, 0.0507, 0.1709) (multiplicity 8)
Ac (0.2500, 0.1123, 0.7500) (multiplicity 8)
I (0.0000, 0.1629, 0.4506) (multiplicity 8)
I (0.0000, 0.2500, 0.8990) (multiplicity 4)
N (0.0000, 0.0611, 0.8739) (multiplicity 8)

Most intense lines, 2θ = 5–70°, in order of rising 2θ:
hkl 0 2 0, 8.2°, d = 10.746 Å, intensity 21; hkl 1 4 1, 22.6°, d = 3.934 Å, intensity 22; hkl 2 1 1, 25.0°, d = 3.567 Å, intensity 28; hkl 1 3 2, 27.2°, d = 3.282 Å, intensity 27; hkl 2 3 1, 27.6°, d = 3.226 Å, intensity 100; hkl 1 6 1, 29.3°, d = 3.044 Å, intensity 22; hkl 0 7 1, 31.0°, d = 2.882 Å, intensity 49; hkl 2 4 2, 35.3°, d = 2.544 Å, intensity 30


For Ac2IN2, a crystal structure in Alexandria, relaxed with GGA-PBE gives the theoretical powder diffractogram in this record (Cu Kα (weighted mean of Kα1 and Kα2)).
Peak positions follow from Bragg's law for the DFT cell and can differ from measured ones.

Cell and atoms:
Lattice parameters (Å, degrees): 4.3502 4.3502 14.7161 90.00 90.00 90.00
Space group I4/mmm (No. 139)
Asymmetric unit:
Ac (0.0000, 0.0000, 0.1683) (multiplicity 4)
I (0.0000, 0.0000, 0.5000) (multiplicity 2)
N (0.0000, 0.5000, 0.2500) (multiplicity 4)

Most intense lines, 2θ = 5–70°, in order of rising 2θ:
hkl 1 0 3, 27.4°, d = 3.255 Å, intensity 100; hkl 1 1 0, 29.0°, d = 3.076 Å, intensity 39; hkl 0 0 6, 36.6°, d = 2.453 Å, intensity 11; hkl 2 0 0, 41.5°, d = 2.175 Å, intensity 18; hkl 1 1 6, 47.4°, d = 1.918 Å, intensity 25; hkl 2 1 3, 50.5°, d = 1.808 Å, intensity 38; hkl 2 0 6, 56.6°, d = 1.627 Å, intensity 13; hkl 1 0 9, 60.5°, d = 1.531 Å, intensity 11


Question: Which formula does entry 2 have?
Answer: Ac4I3N2